Simulated powder diffractogram of PrMg3Hg9 for Cu Kα (weighted mean of Kα1 and Kα2), from a crystal structure in Alexandria, relaxed with GGA-PBE.
Peak positions follow from Bragg's law for the DFT cell and can differ from measured ones.

Cell and atoms:
```
13
Lattice="3.111 -7.104 0.000 3.111 7.104 0.000 -3.080 0.000 6.927" Properties=species:S:1:pos:R:3 pbc="T T T"
Pr 0.000 0.000 0.000
Mg -1.540 0.000 3.463
Mg 1.556 3.552 0.000
Mg 1.556 -3.552 0.000
Hg 0.007 4.643 4.613
Hg -0.117 1.539 5.448
Hg 3.136 4.643 2.314
Hg -0.117 -1.539 5.448
Hg 1.571 0.000 3.463
Hg 3.259 1.539 1.478
Hg 0.007 -4.643 4.613
Hg 3.259 -1.539 1.478
Hg 3.136 -4.643 2.314
```

Peak list (10 most intense, 10 to 90 degrees two-theta, low angle first)
2θ = 28.69°, rel. 93
2θ = 30.61°, rel. 85
2θ = 34.07°, rel. 26
2θ = 35.33°, rel. 100
2θ = 36.10°, rel. 55
2θ = 36.23°, rel. 64
2θ = 38.46°, rel. 46
2θ = 38.82°, rel. 30
2θ = 39.98°, rel. 35
2θ = 64.10°, rel. 26